For Ba2YMn3O7, a structure optimized by DFT (GGA+U) gives the computed powder X-ray diffraction pattern in this record (a wavelength of 1.5418 Å).

The 6 most intense peaks (15° ≤ 2θ ≤ 90°), by angle:
- 2θ = 31.54°, rel. 100
- 2θ = 32.13°, rel. 54
- 2θ = 39.13°, rel. 18
- 2θ = 44.32°, rel. 17
- 2θ = 55.79°, rel. 21
- 2θ = 56.91°, rel. 37

Structural model:
abc: 12.5200 12.4709 5.6737
angles: 77.36 76.40 26.24
Fractional positions:
Ba (0.0000, 0.0000, 0.5000)
Ba (0.1817, 0.1817, 0.3183)
Ba (0.5000, 0.5000, 0.0000)
Ba (0.6817, 0.6817, 0.8183)
Y (0.3407, 0.3407, 0.1593)
Y (0.8407, 0.8407, 0.6593)
Mn (0.0907, 0.0907, 0.9093)
Mn (0.2643, 0.2643, 0.7357)
Mn (0.4166, 0.4166, 0.5834)
Mn (0.5911, 0.5911, 0.4089)
Mn (0.7648, 0.7648, 0.2352)
Mn (0.9172, 0.9172, 0.0828)
O (0.0081, 0.0081, 0.9919)
O (0.0305, 0.5301, 0.4699)
O (0.0316, 0.5312, 0.9684)
O (0.1501, 0.6501, 0.8499)
O (0.1510, 0.6511, 0.3489)
O (0.1737, 0.1737, 0.8263)
O (0.3250, 0.8569, 0.1431)
O (0.5055, 0.5055, 0.4945)
O (0.5301, 0.0305, 0.9695)
O (0.5312, 0.0316, 0.4688)
O (0.6501, 0.1501, 0.3499)
O (0.6511, 0.1510, 0.8490)
O (0.6760, 0.6760, 0.3240)
O (0.8569, 0.3250, 0.6750)